Entry 1:
Computed PXRD pattern of Na5Mn2Te5 for Cu Kα (λ = 1.5418 Å), from a cell relaxed with GGA-PBE.

The 10 most intense peaks (10 to 80 degrees two-theta), low angle first:
d 5.199, 17.1 deg, intensity 22
d 3.883, 22.9 deg, intensity 100
d 3.529, 25.2 deg, intensity 18
d 3.111, 28.7 deg, intensity 36
d 2.600, 34.5 deg, intensity 23
d 2.546, 35.3 deg, intensity 21
d 2.406, 37.4 deg, intensity 31
d 2.099, 43.1 deg, intensity 24
d 2.013, 45.0 deg, intensity 26
d 1.862, 48.9 deg, intensity 25

Atomic structure:
Cell lengths 8.1558, 8.1558, 8.1558 Å; angles 100.79, 100.79, 128.72 degrees
Fractional positions:
1 Na 0.0000 0.0000 0.0000
2 Na 0.2329 0.2329 0.6056
3 Na 0.2329 0.6273 0.0000
4 Na 0.6273 0.2329 0.0000
5 Na 0.6273 0.6273 0.3944
6 Mn 0.3352 0.8352 0.5000
7 Mn 0.8352 0.3352 0.5000
8 Te 0.0860 0.3901 0.3041
9 Te 0.0860 0.7819 0.6959
10 Te 0.3901 0.0860 0.3041
11 Te 0.5627 0.5627 0.0000
12 Te 0.7819 0.0860 0.6959

Entry 2:
Computed PXRD pattern of Sm2ZrCo9 for Cu Kα (λ = 1.5418 Å), from a cell relaxed with GGA-PBE.

The 10 most intense peaks (10 to 80 degrees two-theta), low angle first:
d 2.727, 32.8 deg, intensity 36
d 2.511, 35.8 deg, intensity 34
d 2.449, 36.7 deg, intensity 38
d 2.111, 42.8 deg, intensity 100
d 2.008, 45.2 deg, intensity 11
d 1.998, 45.4 deg, intensity 16
d 1.952, 46.5 deg, intensity 16
d 1.363, 68.9 deg, intensity 13
d 1.339, 70.3 deg, intensity 15
d 1.225, 78.0 deg, intensity 17

Atomic structure:
Cell lengths 8.7745, 8.7745, 8.7745 Å; angles 32.42, 32.42, 32.42 degrees
Fractional positions:
1 Sm 0.1388 0.1388 0.1388
2 Sm 0.8612 0.8612 0.8612
3 Zr 0.0000 0.0000 0.0000
4 Co 0.0793 0.5778 0.5778
5 Co 0.3337 0.3337 0.3337
6 Co 0.4222 0.4222 0.9207
7 Co 0.4222 0.9207 0.4222
8 Co 0.5000 0.5000 0.5000
9 Co 0.5778 0.0793 0.5778
10 Co 0.5778 0.5778 0.0793
11 Co 0.6663 0.6663 0.6663
12 Co 0.9207 0.4222 0.4222